This entry pairs a crystal structure of Rb2ZrAg2Te2S2 with its simulated X-ray powder pattern. Radiation: Cu Kα. Structure: DFT lattice parameters and positions (PBE).
No peak broadening, texture or thermal motion is included.

Main lines, sorted by position (2θ from 15° to 90°):
| hkl | 2theta | Rel. int. |
| --- | --- | --- |
| 1 1 0 | 15.16 | 429 |
| 2 0 1 | 18.78 | 477 |
| 3 1 -1 | 26.92 | 968 |
| 3 1 1 | 27.31 | 970 |
| 2 2 0 | 30.59 | 651 |
| 0 2 2 | 39.97 | 1000 |
| 6 2 0 | 47.32 | 416 |
| 3 3 -1 | 48.73 | 389 |

Cell and atoms:
a = 14.4174 Å, b = 6.3940 Å, c = 6.3673 Å
α = 90.00°, β = 91.13°, γ = 90.00°
Space group C2 (No. 5)
Unique sites:
Rb1 0.2500 0.0000 0.2384
Zr1 0.0000 0.2462 0.5000
Ag1 0.0000 0.2328 0.0000
Ag2 0.0000 0.7555 0.5000
Te1 0.1158 0.4972 0.2575
S1 0.0968 0.0310 0.7247

This entry pairs a crystal structure of Zr3NiAs4Pd3 with its simulated X-ray powder pattern. Radiation: Cu Kα. Structure: DFT lattice parameters and positions (PBE).
No peak broadening, texture or thermal motion is included.

Main lines, sorted by position (2θ from 15° to 90°):
| hkl | 2theta | Rel. int. |
| --- | --- | --- |
| 1 0 -1 | 17.72 | 287 |
| 2 1 0 | 35.40 | 914 |
| 1 1 2 | 35.55 | 535 |
| 2 1 -1 | 37.36 | 1000 |
| 0 1 3 | 42.42 | 780 |
| 1 1 -3 | 44.64 | 397 |
| 0 2 0 | 46.21 | 572 |
| 3 1 1 | 48.69 | 223 |

Cell and atoms:
a = 6.6445 Å, b = 3.9287 Å, c = 7.6107 Å
α = 90.00°, β = 90.22°, γ = 90.00°
Space group Pm (No. 6)
Unique sites:
Zr1 0.0000 0.0000 0.0000
Zr2 0.0701 0.5000 0.6227
Zr3 0.5592 0.5000 0.4849
Ni1 0.1564 0.5000 0.2519
As1 0.2828 0.5000 0.9510
As2 0.2870 0.0000 0.4033
As3 0.7643 0.5000 0.1850
As4 0.7780 0.0000 0.6824
Pd1 0.3753 0.0000 0.7467
Pd2 0.6704 0.5000 0.8704
Pd3 0.8988 0.0000 0.3677

This entry pairs a crystal structure of Nd2Sm2Te3O4 with its simulated X-ray powder pattern. Radiation: Cu Kα. Structure: DFT lattice parameters and positions (PBE).
No peak broadening, texture or thermal motion is included.

Main lines, sorted by position (2θ from 15° to 90°):
| hkl | 2theta | Rel. int. |
| --- | --- | --- |
| 2 0 2 | 24.17 | 325 |
| 0 1 3 | 29.85 | 1000 |
| 2 1 1 | 30.62 | 518 |
| 2 0 4 | 33.75 | 369 |
| 0 0 6 | 40.77 | 230 |
| 0 2 0 | 44.60 | 203 |
| 4 1 3 | 51.35 | 234 |
| 2 1 7 | 57.52 | 218 |

Cell and atoms:
a = 8.8521 Å, b = 4.0633 Å, c = 13.2783 Å
α = 90.00°, β = 90.00°, γ = 90.00°
Space group Amm2 (No. 38)
Unique sites:
Nd1 0.0000 0.0000 0.0000
Nd2 0.5000 0.0000 0.0187
Sm1 0.2385 0.0000 0.6665
Te1 0.0000 0.0000 0.2990
Te2 0.3388 0.0000 0.3517
O1 0.0000 0.0000 0.5811
O2 0.2441 0.0000 0.0816
O3 0.5000 0.0000 0.6107

This entry pairs a crystal structure of Cu3Ag with its simulated X-ray powder pattern. Radiation: Cu Kα. Structure: DFT lattice parameters and positions (PBE).
No peak broadening, texture or thermal motion is included.

Main lines, sorted by position (2θ from 15° to 90°):
| hkl | 2theta | Rel. int. |
| --- | --- | --- |
| 1 1 2 | 41.51 | 1000 |
| 2 0 0 | 47.93 | 165 |
| 0 0 4 | 48.44 | 145 |
| 0 2 0 | 48.57 | 158 |
| 2 2 0 | 70.62 | 95 |
| 3 1 2 | 84.90 | 111 |
| 1 1 6 | 85.67 | 89 |
| 1 3 2 | 85.86 | 108 |

Cell and atoms:
a = 3.7963 Å, b = 3.7489 Å, c = 7.5165 Å
α = 90.00°, β = 90.00°, γ = 90.00°
Space group Pmma (No. 51)
Unique sites:
Cu1 0.2500 0.0000 0.1123
Cu2 0.2500 0.0000 0.6396
Cu3 0.2500 0.5000 0.8868
Ag1 0.2500 0.5000 0.3643